Record 1
# DyNp3Tl4Te8
Theoretical XRD peak list, Cu Ka. Input: a GGA-PBE-relaxed structure.

```
data_DyNp3Tl4Te8
_cell_length_a 15.546
_cell_length_b 8.957
_cell_length_c 9.682
_cell_angle_alpha 90.00
_cell_angle_beta 122.40
_cell_angle_gamma 90.00
_symmetry_space_group_name_H-M 'C 1 2/m 1'
_symmetry_Int_Tables_number 12
loop_
_symmetry_equiv_pos_as_xyz
'x,y,z'
'-x,-y,-z'
'-x,y,-z'
'x,-y,z'
'x+1/2,y+1/2,z'
'-x+1/2,-y+1/2,-z'
'-x+1/2,y+1/2,-z'
'x+1/2,-y+1/2,z'
loop_
_atom_site_label
_atom_site_type_symbol
_atom_site_fract_x
_atom_site_fract_y
_atom_site_fract_z
Dy1 Dy 0.000 0.000 0.000
Np1 Np 0.000 0.500 0.000
Np2 Np 0.250 0.250 0.000
Tl1 Tl 0.000 0.000 0.500
Tl2 Tl 0.000 0.500 0.500
Tl3 Tl 0.250 0.250 0.500
Te1 Te 0.011 0.248 0.786
Te2 Te 0.236 0.000 0.214
Te3 Te 0.238 0.500 0.214
```

Main lines, by angle (2θ from 10° to 90°):
- 2θ = 27.19°, 3.280 Å, rel. 100.0, (4 0 0)
- 2θ = 37.38°, 2.406 Å, rel. 39.2, (2 2 2)
- 2θ = 40.23°, 2.242 Å, rel. 36.7, (0 4 0)
- 2θ = 49.23°, 1.851 Å, rel. 20.0, (4 4 0)
- 2θ = 56.08°, 1.640 Å, rel. 12.3, (8 0 0)
- 2θ = 61.39°, 1.510 Å, rel. 15.8, (6 2 2)


Record 2
# Cs4TeH12
Theoretical XRD peak list, Cu Ka. Input: a GGA-PBE-relaxed structure.

```
data_Cs4TeH12
_cell_length_a 9.659
_cell_length_b 9.659
_cell_length_c 9.659
_cell_angle_alpha 90.00
_cell_angle_beta 90.00
_cell_angle_gamma 90.00
_symmetry_space_group_name_H-M 'I m -3'
_symmetry_Int_Tables_number 204
_symmetry_space_group_name_Hall '-I 2 2 3'
loop_
_atom_site_label
_atom_site_type_symbol
_atom_site_fract_x
_atom_site_fract_y
_atom_site_fract_z
Cs1 Cs 0.250 0.250 0.250
Te1 Te 0.000 0.000 0.000
H1 H 0.000 0.127 0.460
```

Main lines, by angle (2θ from 10° to 90°):
- 2θ = 18.37°, 4.830 Å, rel. 40.0, (2 0 0)
- 2θ = 26.09°, 3.415 Å, rel. 100.0, (2 2 0)
- 2θ = 37.23°, 2.415 Å, rel. 19.1, (4 0 0)
- 2θ = 41.82°, 2.160 Å, rel. 20.6, (4 2 0)
- 2θ = 46.03°, 1.972 Å, rel. 40.7, (4 2 2)
- 2θ = 73.35°, 1.291 Å, rel. 20.7, (6 2 4)


Record 3
# Tb6AgRh
Theoretical XRD peak list, Cu Ka. Input: a GGA-PBE-relaxed structure.

```
data_Tb6AgRh
_cell_length_a 6.755
_cell_length_b 6.758
_cell_length_c 7.501
_cell_angle_alpha 90.05
_cell_angle_beta 116.72
_cell_angle_gamma 119.96
_symmetry_space_group_name_H-M 'P -1'
_symmetry_Int_Tables_number 2
loop_
_symmetry_equiv_pos_as_xyz
'x,y,z'
'-x,-y,-z'
loop_
_atom_site_label
_atom_site_type_symbol
_atom_site_fract_x
_atom_site_fract_y
_atom_site_fract_z
Tb1 Tb 0.022 0.079 0.255
Tb2 Tb 0.311 0.733 0.255
Tb3 Tb 0.323 0.556 0.745
Ag1 Ag 0.500 0.000 0.000
Rh1 Rh 0.500 0.500 0.500
```

Main lines, by angle (2θ from 10° to 90°):
- 2θ = 27.84°, 3.205 Å, rel. 16.7, (0 0 2)
- 2θ = 29.89°, 2.989 Å, rel. 100.0, (2 -1 0)
- 2θ = 38.72°, 2.325 Å, rel. 36.9, (1 1 1)
- 2θ = 46.55°, 1.951 Å, rel. 28.1, (3 0 -2)
- 2θ = 50.54°, 1.806 Å, rel. 23.2, (2 -1 2)
- 2θ = 56.31°, 1.634 Å, rel. 15.0, (2 2 -1)


Repeat the first record exactly.
# DyNp3Tl4Te8
Theoretical XRD peak list, Cu Ka. Input: a GGA-PBE-relaxed structure.

```
data_DyNp3Tl4Te8
_cell_length_a 15.546
_cell_length_b 8.957
_cell_length_c 9.682
_cell_angle_alpha 90.00
_cell_angle_beta 122.40
_cell_angle_gamma 90.00
_symmetry_space_group_name_H-M 'C 1 2/m 1'
_symmetry_Int_Tables_number 12
loop_
_symmetry_equiv_pos_as_xyz
'x,y,z'
'-x,-y,-z'
'-x,y,-z'
'x,-y,z'
'x+1/2,y+1/2,z'
'-x+1/2,-y+1/2,-z'
'-x+1/2,y+1/2,-z'
'x+1/2,-y+1/2,z'
loop_
_atom_site_label
_atom_site_type_symbol
_atom_site_fract_x
_atom_site_fract_y
_atom_site_fract_z
Dy1 Dy 0.000 0.000 0.000
Np1 Np 0.000 0.500 0.000
Np2 Np 0.250 0.250 0.000
Tl1 Tl 0.000 0.000 0.500
Tl2 Tl 0.000 0.500 0.500
Tl3 Tl 0.250 0.250 0.500
Te1 Te 0.011 0.248 0.786
Te2 Te 0.236 0.000 0.214
Te3 Te 0.238 0.500 0.214
```

Main lines, by angle (2θ from 10° to 90°):
- 2θ = 27.19°, 3.280 Å, rel. 100.0, (4 0 0)
- 2θ = 37.38°, 2.406 Å, rel. 39.2, (2 2 2)
- 2θ = 40.23°, 2.242 Å, rel. 36.7, (0 4 0)
- 2θ = 49.23°, 1.851 Å, rel. 20.0, (4 4 0)
- 2θ = 56.08°, 1.640 Å, rel. 12.3, (8 0 0)
- 2θ = 61.39°, 1.510 Å, rel. 15.8, (6 2 2)


What did the third record say?
# Tb6AgRh
Theoretical XRD peak list, Cu Ka. Input: a GGA-PBE-relaxed structure.

```
data_Tb6AgRh
_cell_length_a 6.755
_cell_length_b 6.758
_cell_length_c 7.501
_cell_angle_alpha 90.05
_cell_angle_beta 116.72
_cell_angle_gamma 119.96
_symmetry_space_group_name_H-M 'P -1'
_symmetry_Int_Tables_number 2
loop_
_symmetry_equiv_pos_as_xyz
'x,y,z'
'-x,-y,-z'
loop_
_atom_site_label
_atom_site_type_symbol
_atom_site_fract_x
_atom_site_fract_y
_atom_site_fract_z
Tb1 Tb 0.022 0.079 0.255
Tb2 Tb 0.311 0.733 0.255
Tb3 Tb 0.323 0.556 0.745
Ag1 Ag 0.500 0.000 0.000
Rh1 Rh 0.500 0.500 0.500
```

Main lines, by angle (2θ from 10° to 90°):
- 2θ = 27.84°, 3.205 Å, rel. 16.7, (0 0 2)
- 2θ = 29.89°, 2.989 Å, rel. 100.0, (2 -1 0)
- 2θ = 38.72°, 2.325 Å, rel. 36.9, (1 1 1)
- 2θ = 46.55°, 1.951 Å, rel. 28.1, (3 0 -2)
- 2θ = 50.54°, 1.806 Å, rel. 23.2, (2 -1 2)
- 2θ = 56.31°, 1.634 Å, rel. 15.0, (2 2 -1)